This entry pairs a crystal structure of AlCu2Ni3 with its theoretical powder X-ray diffraction pattern. Radiation: Cu Kα. Structure: DFT lattice parameters and positions (GGA-PBE).
Kinematic intensities with the Lorentz-polarization factor, no thermal factor.

Atomic structure:
abc: 4.744 4.744 7.477
angles: 90.00 90.00 120.00
Sites, in units of the cell vectors:
Al  0.000  0.000  0.000
Al  0.000  0.000  0.500
Cu  0.333  0.667  0.072
Cu  0.333  0.667  0.428
Cu  0.667  0.333  0.572
Cu  0.667  0.333  0.928
Ni  0.172  0.344  0.750
Ni  0.172  0.828  0.750
Ni  0.344  0.172  0.250
Ni  0.656  0.828  0.750
Ni  0.828  0.172  0.250
Ni  0.828  0.656  0.250

Largest 10 diffraction maxima, sorted by position, 2θ = 5–70°:
2θ/deg  I (rel.)
23.80  14
32.38  9
37.93  18
42.42  82
44.08  22
45.28  67
45.81  100
48.71  10
50.71  10
53.88  6

This entry pairs a crystal structure of AlCu2Ni6 with its theoretical powder X-ray diffraction pattern. Radiation: Cu Kα. Structure: DFT lattice parameters and positions (GGA-PBE).
Kinematic intensities with the Lorentz-polarization factor, no thermal factor.

Atomic structure:
abc: 7.496 7.496 3.605
angles: 90.00 90.00 90.00
Sites, in units of the cell vectors:
Al  0.000  0.000  0.000
Al  0.500  0.500  0.500
Cu  0.172  0.172  0.500
Cu  0.328  0.672  0.000
Cu  0.672  0.328  0.000
Cu  0.828  0.828  0.500
Ni  0.003  0.335  0.000
Ni  0.164  0.836  0.500
Ni  0.165  0.503  0.500
Ni  0.335  0.003  0.000
Ni  0.336  0.336  0.000
Ni  0.497  0.835  0.500
Ni  0.503  0.165  0.500
Ni  0.664  0.664  0.000
Ni  0.665  0.997  0.000
Ni  0.835  0.497  0.500
Ni  0.836  0.164  0.500
Ni  0.997  0.665  0.000

Largest 9 diffraction maxima, sorted by position, 2θ = 5–70°:
2θ/deg  I (rel.)
16.72  3
23.74  2
27.45  2
36.60  1
37.96  1
44.10  100
50.65  17
51.74  30
56.69  1

This entry pairs a crystal structure of Al3Cu3Ni with its theoretical powder X-ray diffraction pattern. Radiation: Cu Kα. Structure: DFT lattice parameters and positions (GGA-PBE).
Kinematic intensities with the Lorentz-polarization factor, no thermal factor.

Atomic structure:
abc: 2.716 6.921 9.987
angles: 90.00 90.00 90.00
Sites, in units of the cell vectors:
Al  0.250  0.057  0.110
Al  0.250  0.250  0.478
Al  0.250  0.443  0.110
Al  0.750  0.557  0.890
Al  0.750  0.750  0.522
Al  0.750  0.943  0.890
Cu  0.250  0.250  0.851
Cu  0.250  0.567  0.345
Cu  0.250  0.933  0.345
Cu  0.750  0.067  0.655
Cu  0.750  0.433  0.655
Cu  0.750  0.750  0.149
Ni  0.250  0.750  0.731
Ni  0.750  0.250  0.269

Largest 10 diffraction maxima, sorted by position, 2θ = 5–70°:
2θ/deg  I (rel.)
8.85  19
17.76  49
37.49  30
37.71  28
39.97  22
42.98  17
43.20  70
43.31  100
45.03  58
47.37  29

This entry pairs a crystal structure of Al3Cu2Ni2 with its theoretical powder X-ray diffraction pattern. Radiation: Cu Kα. Structure: DFT lattice parameters and positions (GGA-PBE).
Kinematic intensities with the Lorentz-polarization factor, no thermal factor.

Atomic structure:
abc: 11.256 11.256 2.797
angles: 90.00 90.00 165.31
Sites, in units of the cell vectors:
Al  0.000  0.000  0.000
Al  0.132  0.868  0.000
Al  0.868  0.132  0.000
Cu  0.296  0.704  0.500
Cu  0.704  0.296  0.500
Ni  0.434  0.566  0.500
Ni  0.566  0.434  0.500

Largest 10 diffraction maxima, sorted by position, 2θ = 5–70°:
2θ/deg  I (rel.)
31.33  20
32.02  57
40.34  19
42.29  100
45.39  74
45.93  64
54.00  27
57.81  12
64.77  15
66.90  13

What did the first record say?
This entry pairs a crystal structure of AlCu2Ni3 with its theoretical powder X-ray diffraction pattern. Radiation: Cu Kα. Structure: DFT lattice parameters and positions (GGA-PBE).
Kinematic intensities with the Lorentz-polarization factor, no thermal factor.

Atomic structure:
abc: 4.744 4.744 7.477
angles: 90.00 90.00 120.00
Sites, in units of the cell vectors:
Al  0.000  0.000  0.000
Al  0.000  0.000  0.500
Cu  0.333  0.667  0.072
Cu  0.333  0.667  0.428
Cu  0.667  0.333  0.572
Cu  0.667  0.333  0.928
Ni  0.172  0.344  0.750
Ni  0.172  0.828  0.750
Ni  0.344  0.172  0.250
Ni  0.656  0.828  0.750
Ni  0.828  0.172  0.250
Ni  0.828  0.656  0.250

Largest 10 diffraction maxima, sorted by position, 2θ = 5–70°:
2θ/deg  I (rel.)
23.80  14
32.38  9
37.93  18
42.42  82
44.08  22
45.28  67
45.81  100
48.71  10
50.71  10
53.88  6